Theoretical powder XRD pattern of GdTcMo for Cu Kα (λ = 1.5418 Å), from a structure optimized by DFT (PBE).
No peak broadening, texture or thermal motion is included.

Atomic structure:
```
data_GdTcMo
_cell_length_a 3.2150
_cell_length_b 3.2150
_cell_length_c 11.1086
_cell_angle_alpha 90.00
_cell_angle_beta 90.00
_cell_angle_gamma 90.00
_symmetry_space_group_name_H-M 'I 4 m m'
_symmetry_Int_Tables_number 107
_symmetry_space_group_name_Hall 'I 4 -2'
loop_
_atom_site_label
_atom_site_fract_x
_atom_site_fract_y
_atom_site_fract_z
Gd1 0.0000 0.0000 0.0000
Tc1 0.0000 0.0000 0.6881
Mo1 0.0000 0.0000 0.3072
```

Peak list (10 most intense, 10 to 90 degrees two-theta, by angle)
d_spacing, I/Imax
3.088, 12
2.777, 9
2.428, 100
2.273, 46
1.851, 8
1.759, 10
1.608, 15
1.436, 13
1.423, 11
1.340, 30